Starting from a crystal structure in the Materials Project, relaxed with PBE+U, the X-ray powder pattern of MgZn2W2O8 was calculated for Cu Kα (weighted mean of Kα1 and Kα2).
Lines closer than 0.1° are merged.

Structural model:
```
data_MgZn2W2O8
_cell_length_a 5.3530
_cell_length_b 5.4307
_cell_length_c 6.2054
_cell_angle_alpha 92.70
_cell_angle_beta 91.89
_cell_angle_gamma 109.93
_symmetry_space_group_name_H-M 'P 1'
_symmetry_Int_Tables_number 1
_symmetry_space_group_name_Hall 'P 1'
loop_
_atom_site_label
_atom_site_type_symbol
_atom_site_fract_x
_atom_site_fract_y
_atom_site_fract_z
Mg1 Mg 0.0000 0.0000 0.0000
Zn1 Zn 0.4395 0.7557 0.0376
Zn2 Zn 0.7788 0.9540 0.5527
W1 W 0.3437 0.4023 0.5425
W2 W 0.8455 0.4197 0.2516
O1 O 0.0661 0.6758 0.0566
O2 O 0.0876 0.1861 0.2886
O3 O 0.1113 0.6039 0.4936
O4 O 0.1186 0.1493 0.7283
O5 O 0.5730 0.6801 0.7585
O6 O 0.5998 0.2193 0.4885
O7 O 0.6126 0.6478 0.3048
O8 O 0.6740 0.1419 0.0449
```

Most intense lines, 2θ = 10–80°, by angle:
| 2θ/deg | intensity | (hkl) |
| --- | --- | --- |
| 14.31 | 91 | 0 0 1 |
| 17.40 | 74 | 0 1 0 |
| 23.32 | 100 | 0 1 1 |
| 24.68 | 74 | 1 -1 1 |
| 24.87 | 54 | -1 1 1 |
| 31.47 | 60 | 1 1 -1 |
| 33.94 | 36 | 2 -1 0 |
| 35.26 | 46 | 1 -1 2 |

***

Starting from a crystal structure in the Materials Project, relaxed with PBE+U, the X-ray powder pattern of MgV8O20 was calculated for Cu Kα (weighted mean of Kα1 and Kα2).
Lines closer than 0.1° are merged.

Structural model:
```
data_MgV8O20
_cell_length_a 10.0630
_cell_length_b 3.6367
_cell_length_c 10.9312
_cell_angle_alpha 90.00
_cell_angle_beta 90.23
_cell_angle_gamma 90.00
_symmetry_space_group_name_H-M 'P 1 m 1'
_symmetry_Int_Tables_number 6
_symmetry_space_group_name_Hall 'P -2y'
loop_
_atom_site_label
_atom_site_type_symbol
_atom_site_fract_x
_atom_site_fract_y
_atom_site_fract_z
Mg1 Mg 0.0000 0.0000 0.0000
V1 V 0.0222 0.5000 0.7668
V2 V 0.0765 0.0000 0.3834
V3 V 0.2065 0.5000 0.1914
V4 V 0.2713 0.0000 0.7685
V5 V 0.5237 0.5000 0.2599
V6 V 0.5814 0.0000 0.6810
V7 V 0.7214 0.5000 0.8733
V8 V 0.7786 0.0000 0.2683
O1 O 0.0771 0.0000 0.8248
O2 O 0.0823 0.5000 0.3325
O3 O 0.1075 0.5000 0.0620
O4 O 0.1394 0.0000 0.5191
O5 O 0.2109 0.0000 0.2521
O6 O 0.2206 0.5000 0.7376
O7 O 0.3495 0.0000 0.8970
O8 O 0.3896 0.5000 0.1564
O9 O 0.4046 0.0000 0.6558
O10 O 0.4543 0.5000 0.3925
O11 O 0.5854 0.0000 0.2382
O12 O 0.5894 0.5000 0.7376
O13 O 0.6456 0.5000 0.0029
O14 O 0.6495 0.0000 0.5487
O15 O 0.7184 0.0000 0.8184
O16 O 0.7300 0.5000 0.2847
O17 O 0.8720 0.0000 0.1430
O18 O 0.8939 0.0000 0.3922
O19 O 0.8985 0.5000 0.9118
O20 O 0.9232 0.5000 0.6494
```

Most intense lines, 2θ = 10–80°, by angle:
| 2θ/deg | intensity | (hkl) |
| --- | --- | --- |
| 16.22 | 100 | 0 0 2 |
| 17.63 | 21 | 2 0 0 |
| 18.47 | 22 | 1 0 -2 |
| 26.00 | 26 | 1 0 -3 |
| 27.32 | 72 | 1 1 1 |
| 27.82 | 33 | 3 0 -1 |
| 30.84 | 35 | 1 1 2 |
| 50.17 | 25 | 0 2 0 |

***

Starting from a crystal structure in the Materials Project, relaxed with PBE+U, the X-ray powder pattern of LiV4O5F7 was calculated for Cu Kα (weighted mean of Kα1 and Kα2).
Lines closer than 0.1° are merged.

Structural model:
```
data_LiV4O5F7
_cell_length_a 5.2073
_cell_length_b 5.4181
_cell_length_c 7.4952
_cell_angle_alpha 86.62
_cell_angle_beta 89.83
_cell_angle_gamma 89.49
_symmetry_space_group_name_H-M 'P 1'
_symmetry_Int_Tables_number 1
_symmetry_space_group_name_Hall 'P 1'
loop_
_atom_site_label
_atom_site_type_symbol
_atom_site_fract_x
_atom_site_fract_y
_atom_site_fract_z
Li1 Li 0.0000 0.0000 0.0000
V1 V 0.0219 0.4072 0.2255
V2 V 0.0239 0.4856 0.7357
V3 V 0.5167 0.9216 0.2306
V4 V 0.5189 0.9625 0.7330
O1 O 0.0700 0.4333 0.9808
O2 O 0.2003 0.1411 0.2683
O3 O 0.2037 0.7424 0.6933
O4 O 0.7791 0.1252 0.7878
O5 O 0.7829 0.7589 0.1749
F1 F 0.2865 0.2382 0.6766
F2 F 0.2911 0.6434 0.2841
F3 F 0.3689 0.9419 0.9815
F4 F 0.5986 0.9429 0.4811
F5 F 0.6897 0.6403 0.7815
F6 F 0.6931 0.2405 0.1786
F7 F 0.9041 0.4446 0.4814
```

Most intense lines, 2θ = 10–80°, by angle:
| 2θ/deg | intensity | (hkl) |
| --- | --- | --- |
| 23.61 | 51 | 1 1 0 |
| 23.80 | 100 | 1 -1 0 |
| 34.47 | 8 | 1 1 -2 |
| 40.10 | 14 | 1 0 3 |
| 48.31 | 10 | 2 2 0 |
| 48.72 | 20 | 0 0 4 |
| 53.99 | 16 | -1 1 4 |
| 55.79 | 9 | 1 1 -4 |

***

Starting from a crystal structure in the Materials Project, relaxed with PBE+U, the X-ray powder pattern of MgFe8O8F8 was calculated for Cu Kα (weighted mean of Kα1 and Kα2).
Lines closer than 0.1° are merged.

Structural model:
```
data_MgFe8O8F8
_cell_length_a 9.7150
_cell_length_b 3.1122
_cell_length_c 9.7846
_cell_angle_alpha 90.00
_cell_angle_beta 93.57
_cell_angle_gamma 90.00
_symmetry_space_group_name_H-M 'P 1 m 1'
_symmetry_Int_Tables_number 6
_symmetry_space_group_name_Hall 'P -2y'
loop_
_atom_site_label
_atom_site_type_symbol
_atom_site_fract_x
_atom_site_fract_y
_atom_site_fract_z
Mg1 Mg 0.0000 0.0000 0.0000
Fe1 Fe 0.2249 0.0000 0.5091
Fe2 Fe 0.2976 0.0000 0.9214
Fe3 Fe 0.4780 0.5000 0.2375
Fe4 Fe 0.4892 0.5000 0.7025
Fe5 Fe 0.7356 0.0000 0.9810
Fe6 Fe 0.7673 0.0000 0.4972
Fe7 Fe 0.9490 0.5000 0.2580
Fe8 Fe 0.9968 0.5000 0.7334
O1 O 0.1186 0.0000 0.8444
O2 O 0.1431 0.5000 0.5915
O3 O 0.3863 0.5000 0.8669
O4 O 0.4017 0.0000 0.6197
O5 O 0.8312 0.5000 0.4024
O6 O 0.8762 0.0000 0.1574
O7 O 0.8818 0.5000 0.9070
O8 O 0.8973 0.0000 0.6494
F1 F 0.0752 0.0000 0.3469
F2 F 0.1027 0.5000 0.1019
F3 F 0.3155 0.5000 0.3841
F4 F 0.3669 0.0000 0.1194
F5 F 0.5791 0.0000 0.3414
F6 F 0.6100 0.0000 0.8001
F7 F 0.6189 0.5000 0.0752
F8 F 0.6464 0.5000 0.5761
```

Most intense lines, 2θ = 10–80°, by angle:
| 2θ/deg | intensity | (hkl) |
| --- | --- | --- |
| 25.07 | 82 | 2 0 -2 |
| 26.71 | 100 | 2 0 2 |
| 34.16 | 73 | 0 1 2 |
| 34.24 | 65 | 2 1 0 |
| 39.59 | 25 | 2 1 2 |
| 52.06 | 26 | 2 1 4 |
| 52.22 | 39 | 4 1 2 |
| 59.39 | 25 | 0 2 0 |

***

Starting from a crystal structure in the Materials Project, relaxed with PBE+U, the X-ray powder pattern of CaHoCo2O6 was calculated for Cu Kα (weighted mean of Kα1 and Kα2).
Lines closer than 0.1° are merged.

Structural model:
```
data_CaHoCo2O6
_cell_length_a 7.4275
_cell_length_b 5.5747
_cell_length_c 5.2533
_cell_angle_alpha 90.00
_cell_angle_beta 90.00
_cell_angle_gamma 90.00
_symmetry_space_group_name_H-M 'P m n 21'
_symmetry_Int_Tables_number 31
_symmetry_space_group_name_Hall 'P 2ac -2'
loop_
_atom_site_label
_atom_site_type_symbol
_atom_site_fract_x
_atom_site_fract_y
_atom_site_fract_z
Ca1 Ca 0.0000 0.1905 0.0000
Ho1 Ho 0.0000 0.6772 0.5368
Co1 Co 0.2491 0.7543 0.0148
O1 O 0.0000 0.2773 0.4306
O2 O 0.0000 0.7724 0.1196
O3 O 0.1999 0.9408 0.7136
O4 O 0.2044 0.4559 0.8070
```

Most intense lines, 2θ = 10–80°, by angle:
| 2θ/deg | intensity | (hkl) |
| --- | --- | --- |
| 19.91 | 28 | 1 1 0 |
| 20.71 | 33 | 1 0 1 |
| 26.22 | 18 | 1 1 1 |
| 32.11 | 20 | 0 2 0 |
| 33.64 | 100 | 2 1 1 |
| 34.14 | 25 | 0 0 2 |
| 47.57 | 22 | 0 2 2 |
| 60.80 | 22 | 2 1 3 |

***

Starting from a crystal structure in the Materials Project, relaxed with PBE+U, the X-ray powder pattern of Li4Cr3Co2Sb3O16 was calculated for Cu Kα (weighted mean of Kα1 and Kα2).
Lines closer than 0.1° are merged.

Structural model:
```
data_Li4Cr3Co2Sb3O16
_cell_length_a 10.5391
_cell_length_b 6.1292
_cell_length_c 9.8568
_cell_angle_alpha 90.00
_cell_angle_beta 90.39
_cell_angle_gamma 90.00
_symmetry_space_group_name_H-M 'C 1 m 1'
_symmetry_Int_Tables_number 8
_symmetry_space_group_name_Hall 'C -2y'
loop_
_atom_site_label
_atom_site_type_symbol
_atom_site_fract_x
_atom_site_fract_y
_atom_site_fract_z
Li1 Li 0.0000 0.0000 0.0000
Li2 Li 0.0015 0.0000 0.5151
Li3 Li 0.1611 0.5000 0.1055
Li4 Li 0.3262 0.0000 0.6328
Cr1 Cr 0.0741 0.2533 0.7905
Cr2 Cr 0.1581 0.0000 0.2898
Co1 Co 0.1439 0.5000 0.5297
Co2 Co 0.3172 0.0000 0.9878
Sb1 Sb 0.3199 0.5000 0.7904
Sb2 Sb 0.4052 0.2472 0.2900
O1 O 0.0075 0.5000 0.6745
O2 O 0.0646 0.2364 0.3994
O3 O 0.1493 0.0000 0.8995
O4 O 0.1574 0.5000 0.9004
O5 O 0.2330 0.2765 0.6713
O6 O 0.2499 0.2277 0.1775
O7 O 0.3233 0.0000 0.4026
O8 O 0.3345 0.5000 0.4030
O9 O 0.4089 0.2667 0.9039
O10 O 0.4770 0.0000 0.1748
O11 O 0.4886 0.5000 0.6942
O12 O 0.4899 0.5000 0.1860
```

Most intense lines, 2θ = 10–80°, by angle:
| 2θ/deg | intensity | (hkl) |
| --- | --- | --- |
| 18.00 | 100 | 0 0 2 |
| 19.02 | 88 | 2 0 -1 |
| 24.65 | 31 | 2 0 -2 |
| 34.49 | 34 | 3 1 -2 |
| 35.08 | 57 | 2 2 1 |
| 43.85 | 36 | 2 2 -3 |
| 58.25 | 23 | 2 2 -5 |
| 60.78 | 26 | 6 2 0 |

***

Starting from a crystal structure in the Materials Project, relaxed with PBE+U, the X-ray powder pattern of FeH12C2S2O12F6 was calculated for Cu Kα (weighted mean of Kα1 and Kα2).
Lines closer than 0.1° are merged.

Structural model:
```
data_FeH12C2S2O12F6
_cell_length_a 18.8023
_cell_length_b 7.0525
_cell_length_c 6.6720
_cell_angle_alpha 90.00
_cell_angle_beta 103.84
_cell_angle_gamma 90.00
_symmetry_space_group_name_H-M 'C 1 2/m 1'
_symmetry_Int_Tables_number 12
_symmetry_space_group_name_Hall '-C 2y'
loop_
_atom_site_label
_atom_site_type_symbol
_atom_site_fract_x
_atom_site_fract_y
_atom_site_fract_z
Fe1 Fe 0.0000 0.0000 0.0000
H1 H 0.0670 0.1132 0.6897
H2 H 0.0822 0.2596 0.2894
H3 H 0.0896 0.3131 0.0621
C1 C 0.2249 0.5000 0.7088
S1 S 0.1233 0.5000 0.6851
O1 O 0.0484 0.0000 0.7466
O2 O 0.0743 0.2144 0.1464
O3 O 0.0973 0.3256 0.5716
O4 O 0.1161 0.5000 0.8997
F1 F 0.2376 0.5000 0.5171
F2 F 0.2442 0.1559 0.1892
```

Most intense lines, 2θ = 10–80°, by angle:
| 2θ/deg | intensity | (hkl) |
| --- | --- | --- |
| 18.37 | 100 | 1 1 -1 |
| 18.59 | 29 | 2 0 1 |
| 19.26 | 59 | 3 1 0 |
| 26.91 | 17 | 2 0 -2 |
| 27.51 | 15 | 5 1 0 |
| 29.34 | 25 | 6 0 0 |
| 31.55 | 31 | 2 2 1 |
| 45.35 | 12 | 6 0 -3 |

***

Starting from a crystal structure in the Materials Project, relaxed with PBE+U, the X-ray powder pattern of K2Mo2O5 was calculated for Cu Kα (weighted mean of Kα1 and Kα2).
Lines closer than 0.1° are merged.

Structural model:
```
data_K2Mo2O5
_cell_length_a 15.9390
_cell_length_b 5.9540
_cell_length_c 5.8536
_cell_angle_alpha 90.00
_cell_angle_beta 90.00
_cell_angle_gamma 90.00
_symmetry_space_group_name_H-M 'I m a 2'
_symmetry_Int_Tables_number 46
_symmetry_space_group_name_Hall 'I 2 -2a'
loop_
_atom_site_label
_atom_site_type_symbol
_atom_site_fract_x
_atom_site_fract_y
_atom_site_fract_z
K1 K 0.1074 0.0194 0.0000
Mo1 Mo 0.0000 0.0000 0.5150
Mo2 Mo 0.2500 0.5633 0.9445
O1 O 0.0088 0.7489 0.7585
O2 O 0.1382 0.0419 0.5191
O3 O 0.2500 0.6503 0.6301
```

Most intense lines, 2θ = 10–80°, by angle:
| 2θ/deg | intensity | (hkl) |
| --- | --- | --- |
| 21.29 | 44 | 0 1 1 |
| 22.31 | 23 | 4 0 0 |
| 30.02 | 31 | 0 2 0 |
| 30.54 | 34 | 0 0 2 |
| 31.03 | 100 | 4 1 1 |
| 43.35 | 32 | 0 2 2 |
| 45.53 | 17 | 8 0 0 |
| 64.70 | 17 | 8 2 2 |